[1]
Structure and simulated powder diffractogram of Ba6Mn4Co2ClO16 (a DFT-relaxed cell (GGA+U, Alexandria); Cu Kα (λ = 1.5418 Å)).

Cell and atoms:
Unit cell a=14.925 b=5.818 c=5.818 alpha=59.93 beta=90.00 gamma=90.00
Atoms (fractional coordinates):
Ba (0.000, 0.000, 0.000)
Ba (0.149, 0.666, 0.666)
Ba (0.297, 0.002, 0.002)
Ba (0.500, 0.345, 0.345)
Ba (0.703, 0.002, 0.002)
Ba (0.851, 0.666, 0.666)
Mn (0.085, 0.333, 0.333)
Mn (0.258, 0.335, 0.335)
Mn (0.742, 0.335, 0.335)
Mn (0.915, 0.333, 0.333)
Co (0.380, 0.671, 0.671)
Co (0.620, 0.671, 0.671)
Cl (0.500, 0.989, 0.989)
O (0.000, 0.036, 0.482)
O (0.000, 0.482, 0.036)
O (0.000, 0.482, 0.482)
O (0.165, 0.185, 0.628)
O (0.165, 0.186, 0.186)
O (0.165, 0.628, 0.185)
O (0.327, 0.494, 0.494)
O (0.329, 0.015, 0.495)
O (0.329, 0.495, 0.015)
O (0.500, 0.647, 0.647)
O (0.671, 0.015, 0.495)
O (0.671, 0.495, 0.015)
O (0.673, 0.494, 0.494)
O (0.835, 0.185, 0.628)
O (0.835, 0.186, 0.186)
O (0.835, 0.628, 0.185)

The 12 most intense peaks (2θ = 10–90°), sorted by position:
25.16°, 3.540 Å, I = 41.6
29.80°, 2.998 Å, I = 51.0
30.74°, 2.908 Å, I = 100.0
34.94°, 2.568 Å, I = 8.9
40.13°, 2.247 Å, I = 33.0
43.35°, 2.087 Å, I = 22.7
46.24°, 1.964 Å, I = 9.8
51.39°, 1.778 Å, I = 10.7
54.08°, 1.696 Å, I = 17.9
54.66°, 1.679 Å, I = 18.5
64.04°, 1.454 Å, I = 17.0
65.76°, 1.420 Å, I = 7.8



[2]
Structure and simulated powder diffractogram of Ba8Mn6Co2ClO22 (a DFT-relaxed cell (GGA+U, Alexandria); Cu Kα (λ = 1.5418 Å)).

Cell and atoms:
Unit cell a=19.881 b=5.813 c=5.813 alpha=59.99 beta=90.00 gamma=90.00
Atoms (fractional coordinates):
Ba (0.000, 0.000, 0.000)
Ba (0.119, 0.333, 0.333)
Ba (0.236, 0.999, 0.999)
Ba (0.348, 0.328, 0.328)
Ba (0.500, 0.657, 0.657)
Ba (0.652, 0.328, 0.328)
Ba (0.764, 0.999, 0.999)
Ba (0.881, 0.333, 0.333)
Mn (0.063, 0.667, 0.667)
Mn (0.190, 0.666, 0.666)
Mn (0.319, 0.661, 0.661)
Mn (0.681, 0.661, 0.661)
Mn (0.810, 0.666, 0.666)
Mn (0.937, 0.667, 0.667)
Co (0.410, 0.992, 0.992)
Co (0.590, 0.992, 0.992)
Cl (0.500, 0.343, 0.343)
O (0.000, 0.518, 0.518)
O (0.000, 0.518, 0.963)
O (0.000, 0.963, 0.518)
O (0.124, 0.370, 0.815)
O (0.124, 0.815, 0.370)
O (0.125, 0.815, 0.815)
O (0.249, 0.517, 0.517)
O (0.250, 0.518, 0.959)
O (0.250, 0.959, 0.518)
O (0.370, 0.340, 0.819)
O (0.370, 0.819, 0.340)
O (0.375, 0.819, 0.819)
O (0.500, 0.026, 0.026)
O (0.625, 0.819, 0.819)
O (0.630, 0.340, 0.819)
O (0.630, 0.819, 0.340)
O (0.750, 0.518, 0.959)
O (0.750, 0.959, 0.518)
O (0.751, 0.517, 0.517)
O (0.875, 0.815, 0.815)
O (0.876, 0.370, 0.815)
O (0.876, 0.815, 0.370)

The 12 most intense peaks (2θ = 10–90°), sorted by position:
25.18°, 3.537 Å, I = 52.8
28.61°, 3.120 Å, I = 36.1
30.77°, 2.906 Å, I = 100.0
32.35°, 2.768 Å, I = 12.6
40.16°, 2.245 Å, I = 40.2
42.51°, 2.127 Å, I = 15.0
51.43°, 1.777 Å, I = 13.2
51.69°, 1.768 Å, I = 9.3
53.38°, 1.716 Å, I = 11.8
54.70°, 1.678 Å, I = 18.5
64.08°, 1.453 Å, I = 17.4
89.15°, 1.098 Å, I = 9.8



[3]
Structure and simulated powder diffractogram of Ba5Co5ClO13 (a DFT-relaxed cell (GGA+U, Alexandria); Cu Kα (λ = 1.5418 Å)).

Cell and atoms:
Unit cell a=5.727 b=5.727 c=24.679 alpha=90.00 beta=90.00 gamma=120.00
Atoms (fractional coordinates):
Ba (0.000, 0.000, 0.250)
Ba (0.000, 0.000, 0.750)
Ba (0.333, 0.667, 0.038)
Ba (0.333, 0.667, 0.462)
Ba (0.333, 0.667, 0.628)
Ba (0.333, 0.667, 0.872)
Ba (0.667, 0.333, 0.128)
Ba (0.667, 0.333, 0.372)
Ba (0.667, 0.333, 0.538)
Ba (0.667, 0.333, 0.962)
Co (0.000, 0.000, 0.000)
Co (0.000, 0.000, 0.102)
Co (0.000, 0.000, 0.398)
Co (0.000, 0.000, 0.500)
Co (0.000, 0.000, 0.602)
Co (0.000, 0.000, 0.898)
Co (0.333, 0.667, 0.176)
Co (0.333, 0.667, 0.324)
Co (0.667, 0.333, 0.676)
Co (0.667, 0.333, 0.824)
Cl (0.333, 0.667, 0.750)
Cl (0.667, 0.333, 0.250)
O (0.146, 0.292, 0.551)
O (0.146, 0.292, 0.949)
O (0.146, 0.854, 0.551)
O (0.146, 0.854, 0.949)
O (0.162, 0.324, 0.150)
O (0.162, 0.324, 0.350)
O (0.162, 0.838, 0.150)
O (0.162, 0.838, 0.350)
O (0.292, 0.146, 0.051)
O (0.292, 0.146, 0.449)
O (0.324, 0.162, 0.650)
O (0.324, 0.162, 0.850)
O (0.333, 0.667, 0.250)
O (0.667, 0.333, 0.750)
O (0.676, 0.838, 0.150)
O (0.676, 0.838, 0.350)
O (0.708, 0.854, 0.551)
O (0.708, 0.854, 0.949)
O (0.838, 0.162, 0.650)
O (0.838, 0.162, 0.850)
O (0.838, 0.676, 0.650)
O (0.838, 0.676, 0.850)
O (0.854, 0.146, 0.051)
O (0.854, 0.146, 0.449)
O (0.854, 0.708, 0.051)
O (0.854, 0.708, 0.449)

The 12 most intense peaks (2θ = 10–90°), sorted by position:
25.46°, 3.499 Å, I = 21.6
28.19°, 3.166 Å, I = 14.0
31.12°, 2.874 Å, I = 50.8
31.24°, 2.864 Å, I = 100.0
40.72°, 2.216 Å, I = 21.6
43.10°, 2.099 Å, I = 12.4
44.68°, 2.028 Å, I = 21.9
47.88°, 1.900 Å, I = 9.3
55.55°, 1.654 Å, I = 36.6
61.80°, 1.501 Å, I = 9.1
65.15°, 1.432 Å, I = 16.6
73.96°, 1.282 Å, I = 8.5



> What is the formula in the first record?

Ba6Mn4Co2ClO16